No. 1
Starting from DFT lattice parameters and positions (GGA-PBE), the X-ray powder pattern of LuNbRu4 was simulated for a wavelength of 1.5418 Å.
Lines closer than 0.1° are merged.

The 10 most intense peaks (10° ≤ 2θ ≤ 80°), by angle:
20.94 deg, rel. 4; 24.23 deg, rel. 3; 34.53 deg, rel. 36; 40.74 deg, rel. 100; 42.63 deg, rel. 32; 49.64 deg, rel. 2; 55.98 deg, rel. 2; 61.87 deg, rel. 13; 66.09 deg, rel. 31; 72.83 deg, rel. 25

Crystal structure
abc: 5.195 5.195 5.195
angles: 60.00 60.00 60.00
Atoms (fractional coordinates):
Lu 0.000 0.000 0.000
Nb 0.250 0.250 0.250
Ru 0.125 0.625 0.625
Ru 0.625 0.125 0.625
Ru 0.625 0.625 0.125
Ru 0.625 0.625 0.625

---

No. 2
Starting from DFT lattice parameters and positions (GGA-PBE), the X-ray powder pattern of KTl5Br7 was simulated for a wavelength of 1.5418 Å.
Lines closer than 0.1° are merged.

The 10 most intense peaks (10° ≤ 2θ ≤ 80°), by angle:
22.58 deg, rel. 51; 25.45 deg, rel. 31; 26.15 deg, rel. 35; 26.76 deg, rel. 70; 27.74 deg, rel. 68; 28.43 deg, rel. 37; 35.67 deg, rel. 30; 38.50 deg, rel. 40; 38.84 deg, rel. 100; 40.36 deg, rel. 27

Crystal structure
abc: 8.018 8.018 27.520
angles: 90.02 90.02 33.57
Atoms (fractional coordinates):
K 0.000 0.000 0.000
K 0.589 0.589 0.500
Tl 0.069 0.069 0.327
Tl 0.069 0.069 0.673
Tl 0.252 0.252 0.099
Tl 0.252 0.252 0.901
Tl 0.337 0.337 0.401
Tl 0.337 0.337 0.599
Tl 0.519 0.519 0.173
Tl 0.520 0.520 0.827
Tl 0.794 0.794 0.250
Tl 0.795 0.795 0.750
Br 0.157 0.157 0.212
Br 0.157 0.157 0.788
Br 0.245 0.245 0.500
Br 0.343 0.343 0.000
Br 0.432 0.432 0.288
Br 0.432 0.432 0.712
Br 0.610 0.610 0.072
Br 0.611 0.611 0.929
Br 0.703 0.703 0.361
Br 0.703 0.703 0.639
Br 0.885 0.885 0.139
Br 0.886 0.886 0.861
Br 0.978 0.978 0.572
Br 0.979 0.979 0.429